Structure and calculated powder XRD pattern of La2Fe2Co15 (a crystal structure in Alexandria, relaxed with PBE; a wavelength of 1.5418 Å).
Neutral-atom scattering factors, no anomalous dispersion.

Structural model:
```
data_La2Fe2Co15
_chemical_formula_sum 'La6 Fe6 Co45'
_symmetry_space_group_name_H-M 'R -3 m'
_symmetry_Int_Tables_number 166
_symmetry_space_group_name_Hall '-R 3 2"'
_cell_length_a 8.4373
_cell_length_b 8.4373
_cell_length_c 12.2231
_cell_angle_alpha 90.00
_cell_angle_beta 90.00
_cell_angle_gamma 120.00
loop_
_atom_site_label
_atom_site_type_symbol
_atom_site_fract_x
_atom_site_fract_y
_atom_site_fract_z
La1 La 0.0000 0.0000 0.1533
Fe1 Fe 0.0000 0.0000 0.4025
Co1 Co 0.0000 0.2839 0.5000
Co2 Co 0.0000 0.5000 0.0000
Co3 Co 0.0072 0.5036 0.3458
```

Principal peaks in the range 2θ = 10–90°, in order of rising 2θ:
2θ/deg	d/Å	intensity	index
30.5	2.931	34.8	1 1 3
36.9	2.436	37.9	3 0 0
38.4	2.344	35.7	0 2 4
42.9	2.109	69.7	2 2 0
43.3	2.091	100.0	3 0 3
44.2	2.049	20.1	2 1 4
44.5	2.037	34.1	0 0 6
48.6	1.873	29.6	2 2 3
62.6	1.485	18.1	1 4 3
63.5	1.465	16.7	2 2 6
78.5	1.218	16.1	6 0 0
81.1	1.186	15.2	3 0 9